# 1
This entry pairs a crystal structure of Cs2ZrFe2Mo6O24 with its calculated powder X-ray diffraction pattern. Radiation: Cu Kα (weighted mean of Kα1 and Kα2). Structure: DFT lattice parameters and positions (GGA+U).
Kinematic intensities with the Lorentz-polarization factor, no thermal factor.

a = 8.7922 Å, b = 8.7943 Å, c = 8.8302 Å
α = 99.33°, β = 99.10°, γ = 99.54°
Element x y z (fractional)
Cs: 0.1750 0.1753 0.1785
Cs: 0.8250 0.8247 0.8215
Zr: 0.5000 0.5000 0.0000
Fe: 0.0000 0.5000 0.5000
Fe: 0.5000 0.0000 0.5000
Mo: 0.2084 0.2226 0.6668
Mo: 0.2228 0.6766 0.2180
Mo: 0.3235 0.7910 0.7687
Mo: 0.6765 0.2090 0.2313
Mo: 0.7772 0.3234 0.7820
Mo: 0.7916 0.7774 0.3332
O: 0.0383 0.1041 0.6916
O: 0.1055 0.5744 0.3344
O: 0.1080 0.7009 0.0474
O: 0.1343 0.6824 0.6620
O: 0.1587 0.3606 0.5442
O: 0.2976 0.9598 0.8868
O: 0.3120 0.3312 0.8609
O: 0.3304 0.1090 0.5692
O: 0.3362 0.8662 0.3202
O: 0.3576 0.5461 0.1662
O: 0.4273 0.6735 0.8874
O: 0.4512 0.8425 0.6351
O: 0.5488 0.1575 0.3649
O: 0.5727 0.3265 0.1126
O: 0.6424 0.4539 0.8338
O: 0.6638 0.1338 0.6798
O: 0.6696 0.8910 0.4308
O: 0.6880 0.6688 0.1391
O: 0.7024 0.0402 0.1132
O: 0.8413 0.6394 0.4558
O: 0.8657 0.3176 0.3380
O: 0.8920 0.2991 0.9526
O: 0.8945 0.4256 0.6656
O: 0.9617 0.8959 0.3084

Main lines, in order of falling intensity (10° ≤ 2θ ≤ 90°):
Position (°2θ)  d [Å]  intensity
26.6  3.356  100.0
25.2  3.540  24.4
25.0  3.556  23.8
20.9  4.255  21.2
31.4  2.847  20.9
21.3  4.180  18.0
46.9  1.938  17.5
21.4  4.147  14.2
31.6  2.833  13.5
20.8  4.277  10.9

---

# 2
This entry pairs a crystal structure of Li9Mn2Co5O16 with its calculated powder X-ray diffraction pattern. Radiation: Cu Kα (weighted mean of Kα1 and Kα2). Structure: DFT lattice parameters and positions (GGA+U).
Kinematic intensities with the Lorentz-polarization factor, no thermal factor.

a = 5.8945 Å, b = 6.4785 Å, c = 7.7421 Å
α = 87.27°, β = 81.93°, γ = 76.75°
Element x y z (fractional)
Li: 0.0000 0.0000 0.0000
Li: 0.0511 0.1183 0.6410
Li: 0.1054 0.2369 0.2767
Li: 0.2248 0.4828 0.5254
Li: 0.3647 0.7509 0.7592
Li: 0.4833 0.0008 0.0119
Li: 0.6063 0.2378 0.2699
Li: 0.7453 0.4813 0.5284
Li: 0.8553 0.7475 0.7657
Mn: 0.4177 0.8675 0.3950
Mn: 0.7957 0.6155 0.1422
Co: 0.1703 0.3620 0.8805
Co: 0.2919 0.6194 0.1425
Co: 0.5477 0.1153 0.6458
Co: 0.6764 0.3678 0.8877
Co: 0.9188 0.8673 0.3980
O: 0.0584 0.6770 0.9833
O: 0.1596 0.8056 0.5500
O: 0.2244 0.9105 0.2071
O: 0.2797 0.0628 0.8258
O: 0.3453 0.1575 0.4530
O: 0.3664 0.3347 0.0755
O: 0.4614 0.4227 0.7155
O: 0.5225 0.5696 0.3092
O: 0.5952 0.6616 0.9605
O: 0.6254 0.8084 0.5701
O: 0.6928 0.9070 0.2226
O: 0.7518 0.0780 0.8311
O: 0.8299 0.1517 0.4557
O: 0.8792 0.3222 0.0721
O: 0.9665 0.4360 0.7142
O: 0.9959 0.5729 0.3252

Main lines, in order of falling intensity (10° ≤ 2θ ≤ 90°):
Position (°2θ)  d [Å]  intensity
18.4  4.832  100.0
42.2  2.144  30.4
44.4  2.040  25.7
44.5  2.035  25.4
36.6  2.454  24.7
35.1  2.557  16.9
63.2  1.472  7.6
63.1  1.474  7.5
62.9  1.478  7.4
62.6  1.484  7.4

---

# 3
This entry pairs a crystal structure of Li11Fe6F29 with its calculated powder X-ray diffraction pattern. Radiation: Cu Kα (weighted mean of Kα1 and Kα2). Structure: DFT lattice parameters and positions (GGA+U).
Kinematic intensities with the Lorentz-polarization factor, no thermal factor.

a = 14.1688 Å, b = 14.1688 Å, c = 7.4501 Å
α = 90.39°, β = 90.39°, γ = 22.59°
Element x y z (fractional)
Li: 0.0000 0.0000 0.0000
Li: 0.0941 0.0941 0.5991
Li: 0.2275 0.2275 0.0834
Li: 0.3233 0.3233 0.0518
Li: 0.3443 0.3443 0.5815
Li: 0.4406 0.4406 0.5454
Li: 0.5594 0.5594 0.4546
Li: 0.6557 0.6557 0.4185
Li: 0.6767 0.6767 0.9482
Li: 0.7725 0.7725 0.9166
Li: 0.9059 0.9059 0.4009
Fe: 0.0975 0.0975 0.1942
Fe: 0.2311 0.2311 0.6808
Fe: 0.4369 0.4369 0.1588
Fe: 0.5631 0.5631 0.8412
Fe: 0.7689 0.7689 0.3192
Fe: 0.9025 0.9025 0.8058
F: 0.0000 0.5000 0.5000
F: 0.0299 0.0299 0.2274
F: 0.0303 0.5270 0.1376
F: 0.1488 0.6387 0.6245
F: 0.1586 0.6762 0.9974
F: 0.1629 0.1629 0.1296
F: 0.1655 0.1655 0.6157
F: 0.2225 0.6825 0.3443
F: 0.2994 0.2994 0.7704
F: 0.3175 0.7775 0.6557
F: 0.3238 0.8414 0.0026
F: 0.3613 0.8512 0.3755
F: 0.3705 0.3705 0.2401
F: 0.4730 0.9697 0.8624
F: 0.5000 0.0000 0.5000
F: 0.5000 0.5000 0.0000
F: 0.5270 0.0303 0.1376
F: 0.6295 0.6295 0.7599
F: 0.6387 0.1488 0.6245
F: 0.6762 0.1586 0.9974
F: 0.6825 0.2225 0.3443
F: 0.7006 0.7006 0.2296
F: 0.7775 0.3175 0.6557
F: 0.8345 0.8345 0.3843
F: 0.8371 0.8371 0.8704
F: 0.8414 0.3238 0.0026
F: 0.8512 0.3613 0.3755
F: 0.9697 0.4730 0.8624
F: 0.9701 0.9701 0.7726

Main lines, in order of falling intensity (10° ≤ 2θ ≤ 90°):
Position (°2θ)  d [Å]  intensity
22.2  4.011  100.0
19.2  4.631  36.9
29.1  3.073  28.4
49.7  1.835  14.5
22.5  3.945  13.0
40.7  2.216  11.1
52.0  1.757  10.8
13.5  6.568  10.7
51.9  1.763  9.9
40.5  2.225  8.8

---

# 4
This entry pairs a crystal structure of KBaCeWO6 with its calculated powder X-ray diffraction pattern. Radiation: Cu Kα (weighted mean of Kα1 and Kα2). Structure: DFT lattice parameters and positions (GGA+U).
Kinematic intensities with the Lorentz-polarization factor, no thermal factor.

a = 8.5324 Å, b = 8.5552 Å, c = 8.5670 Å
α = 90.00°, β = 90.00°, γ = 90.00°
Element x y z (fractional)
K: 0.2500 0.2500 0.2500
K: 0.2500 0.2500 0.7500
K: 0.7500 0.7500 0.2500
K: 0.7500 0.7500 0.7500
Ba: 0.2500 0.7500 0.2500
Ba: 0.2500 0.7500 0.7500
Ba: 0.7500 0.2500 0.2500
Ba: 0.7500 0.2500 0.7500
Ce: 0.0000 0.0000 0.0000
Ce: 0.0000 0.5000 0.5000
Ce: 0.5000 0.0000 0.5000
Ce: 0.5000 0.5000 0.0000
W: 0.0000 0.0000 0.5000
W: 0.0000 0.5000 0.0000
W: 0.5000 0.0000 0.0000
W: 0.5000 0.5000 0.5000
O: 0.0100 0.0032 0.2602
O: 0.0100 0.4968 0.2398
O: 0.0199 0.7394 0.0031
O: 0.0199 0.7606 0.4969
O: 0.2289 0.0050 0.5111
O: 0.2289 0.4950 0.9889
O: 0.2711 0.0050 0.9889
O: 0.2711 0.4950 0.5111
O: 0.4801 0.7394 0.4969
O: 0.4801 0.7606 0.0031
O: 0.4900 0.0032 0.2398
O: 0.4900 0.4968 0.2602
O: 0.5100 0.5032 0.7398
O: 0.5100 0.9968 0.7602
O: 0.5199 0.2394 0.9969
O: 0.5199 0.2606 0.5031
O: 0.7289 0.5050 0.4889
O: 0.7289 0.9950 0.0111
O: 0.7711 0.5050 0.0111
O: 0.7711 0.9950 0.4889
O: 0.9801 0.2394 0.5031
O: 0.9801 0.2606 0.9969
O: 0.9900 0.5032 0.7602
O: 0.9900 0.9968 0.7398

Main lines, in order of falling intensity (10° ≤ 2θ ≤ 90°):
Position (°2θ)  d [Å]  intensity
29.5  3.023  100.0
52.4  1.747  27.3
42.2  2.140  20.4
20.8  4.276  18.7
52.5  1.744  13.5
61.3  1.512  12.5
84.8  1.144  10.7
42.4  2.133  9.8
69.4  1.354  8.9
84.9  1.142  7.3

---

# 5
This entry pairs a crystal structure of Li2Fe5B3O13 with its calculated powder X-ray diffraction pattern. Radiation: Cu Kα (weighted mean of Kα1 and Kα2). Structure: DFT lattice parameters and positions (GGA+U).
Kinematic intensities with the Lorentz-polarization factor, no thermal factor.

a = 9.6209 Å, b = 3.1667 Å, c = 15.6993 Å
α = 90.00°, β = 107.03°, γ = 90.00°
Element x y z (fractional)
Li: 0.0129 0.2500 0.2391
Li: 0.0664 0.2500 0.9513
Li: 0.9336 0.7500 0.0487
Li: 0.9871 0.7500 0.7609
Fe: 0.1657 0.2500 0.6254
Fe: 0.2938 0.7500 0.3110
Fe: 0.3573 0.7500 0.0006
Fe: 0.4185 0.7500 0.5626
Fe: 0.4988 0.7500 0.8050
Fe: 0.5012 0.2500 0.1950
Fe: 0.5815 0.2500 0.4374
Fe: 0.6427 0.2500 0.9994
Fe: 0.7062 0.2500 0.6890
Fe: 0.8343 0.7500 0.3746
B: 0.1316 0.2500 0.4253
B: 0.2022 0.7500 0.1199
B: 0.2386 0.2500 0.8183
B: 0.7614 0.7500 0.1817
B: 0.7978 0.2500 0.8801
B: 0.8684 0.7500 0.5747
O: 0.0157 0.7500 0.5838
O: 0.1156 0.2500 0.7478
O: 0.1308 0.7500 0.1834
O: 0.1388 0.7500 0.0284
O: 0.1768 0.2500 0.3481
O: 0.2356 0.2500 0.5080
O: 0.2386 0.2500 0.9074
O: 0.3031 0.7500 0.6488
O: 0.3537 0.7500 0.1431
O: 0.3708 0.2500 0.7988
O: 0.4055 0.2500 0.2895
O: 0.4491 0.7500 0.4323
O: 0.4774 0.2500 0.0589
O: 0.5226 0.7500 0.9411
O: 0.5509 0.2500 0.5677
O: 0.5945 0.7500 0.7105
O: 0.6292 0.7500 0.2012
O: 0.6463 0.2500 0.8569
O: 0.6969 0.2500 0.3512
O: 0.7614 0.7500 0.0926
O: 0.7644 0.7500 0.4920
O: 0.8232 0.7500 0.6519
O: 0.8612 0.2500 0.9716
O: 0.8692 0.2500 0.8166
O: 0.8844 0.7500 0.2522
O: 0.9843 0.2500 0.4162

Main lines, in order of falling intensity (10° ≤ 2θ ≤ 90°):
Position (°2θ)  d [Å]  intensity
33.9  2.645  100.0
34.4  2.608  71.6
31.0  2.884  46.7
58.3  1.583  45.5
54.0  1.698  39.7
45.3  2.003  39.6
30.4  2.939  36.2
28.2  3.166  33.4
29.8  3.001  30.0
22.6  3.938  29.5

---

# 6
This entry pairs a crystal structure of MgV3CoO8 with its calculated powder X-ray diffraction pattern. Radiation: Cu Kα (weighted mean of Kα1 and Kα2). Structure: DFT lattice parameters and positions (GGA+U).
Kinematic intensities with the Lorentz-polarization factor, no thermal factor.

a = 6.5762 Å, b = 6.5762 Å, c = 6.6986 Å
α = 106.29°, β = 106.29°, γ = 33.90°
Element x y z (fractional)
Mg: 0.0000 0.0000 0.0000
V: 0.1155 0.1155 0.6662
V: 0.2220 0.2220 0.2660
V: 0.4112 0.4112 0.6708
Co: 0.5213 0.5213 0.3029
O: 0.0671 0.0671 0.3228
O: 0.1661 0.1661 0.9906
O: 0.2634 0.2634 0.6143
O: 0.3676 0.3676 0.3386
O: 0.4570 0.4570 0.9725
O: 0.5702 0.5702 0.6316
O: 0.7015 0.7015 0.2877
O: 0.9515 0.9515 0.6902

Main lines, in order of falling intensity (10° ≤ 2θ ≤ 90°):
Position (°2θ)  d [Å]  intensity
24.4  3.654  100.0
14.7  6.014  76.8
42.3  2.135  59.8
47.4  1.918  59.0
28.9  3.093  58.6
13.8  6.404  52.7
43.1  2.097  48.8
56.6  1.626  45.3
27.9  3.202  38.3
35.6  2.522  27.7

---

What did the sixth record say?
This entry pairs a crystal structure of MgV3CoO8 with its calculated powder X-ray diffraction pattern. Radiation: Cu Kα (weighted mean of Kα1 and Kα2). Structure: DFT lattice parameters and positions (GGA+U).
Kinematic intensities with the Lorentz-polarization factor, no thermal factor.

a = 6.5762 Å, b = 6.5762 Å, c = 6.6986 Å
α = 106.29°, β = 106.29°, γ = 33.90°
Element x y z (fractional)
Mg: 0.0000 0.0000 0.0000
V: 0.1155 0.1155 0.6662
V: 0.2220 0.2220 0.2660
V: 0.4112 0.4112 0.6708
Co: 0.5213 0.5213 0.3029
O: 0.0671 0.0671 0.3228
O: 0.1661 0.1661 0.9906
O: 0.2634 0.2634 0.6143
O: 0.3676 0.3676 0.3386
O: 0.4570 0.4570 0.9725
O: 0.5702 0.5702 0.6316
O: 0.7015 0.7015 0.2877
O: 0.9515 0.9515 0.6902

Main lines, in order of falling intensity (10° ≤ 2θ ≤ 90°):
Position (°2θ)  d [Å]  intensity
24.4  3.654  100.0
14.7  6.014  76.8
42.3  2.135  59.8
47.4  1.918  59.0
28.9  3.093  58.6
13.8  6.404  52.7
43.1  2.097  48.8
56.6  1.626  45.3
27.9  3.202  38.3
35.6  2.522  27.7